Diffraction record for Li2TmTeO4. The powder X-ray diffraction pattern is computed, not measured: it uses a structure optimized by DFT (PBE) and copper Kα.

Structural model:
```
data_Li2TmTeO4
_cell_length_a 4.649
_cell_length_b 4.649
_cell_length_c 9.301
_cell_angle_alpha 90.00
_cell_angle_beta 90.00
_cell_angle_gamma 90.00
_space_group_name_H-M_alt 'I -4 m 2'
_space_group_IT_number 119
_space_group_name_Hall 'I -4 -2'
loop_
_atom_site_label
_atom_site_type_symbol
_atom_site_fract_x
_atom_site_fract_y
_atom_site_fract_z
Li1 Li 0.000 0.000 0.000
Li2 Li 0.000 0.500 0.250
Tm1 Tm 0.000 0.500 0.750
Te1 Te 0.000 0.000 0.500
O1 O 0.000 0.000 0.255
O2 O 0.000 0.500 0.510
```

Principal peaks in the range 10° ≤ 2θ ≤ 90°, in order of rising 2θ:
Position (°2θ)	d/Å	I_rel
21.37	4.158	100
33.38	2.684	43
34.78	2.579	27
38.74	2.325	53
44.67	2.029	29
53.03	1.727	26
55.94	1.644	34
66.73	1.402	20
67.58	1.386	13
70.12	1.342	11
74.25	1.277	9
87.05	1.119	8